For Cs2Na6AgHg, DFT lattice parameters and positions (GGA-PBE) gives the calculated powder XRD pattern in this record (λ = 1.5418 Å (Cu Kα)).
Peak positions follow from Bragg's law for the DFT cell and can differ from measured ones.

Cell and atoms:
```
Cs2Na6AgHg
1.0
9.0068 0.0000 0.0000
0.0000 11.7045 0.0000
0.0000 0.0000 8.2994
Cs Na Ag Hg
4 12 2 2
Cartesian
2.2517 0.1003 1.9819 Cs
2.2517 5.7519 1.9819 Cs
6.7551 5.9526 6.3175 Cs
6.7551 11.6042 6.3175 Cs
0.3689 2.9261 7.5341 Na
0.4152 8.7784 4.7059 Na
2.2517 0.0186 6.0965 Na
2.2517 5.8336 6.0965 Na
4.0883 8.7784 4.7059 Na
4.1345 2.9261 7.5341 Na
4.8724 8.7784 0.7653 Na
4.9186 2.9261 3.5935 Na
6.7551 5.8709 2.2029 Na
6.7551 11.6859 2.2029 Na
8.5917 2.9261 3.5935 Na
8.6379 8.7784 0.7653 Na
2.2517 2.9261 5.0667 Ag
6.7551 8.7784 3.2327 Ag
2.2517 8.7784 7.3659 Hg
6.7551 2.9261 0.9335 Hg
```

Largest 12 diffraction maxima, by intensity, 2θ = 15–90°:
2θ/deg	I/Imax
21.0	100
19.7	47
16.4	45
30.3	33
30.6	28
26.3	27
35.3	21
33.9	21
49.0	21
36.6	19
37.4	19
33.1	17